Simulated PXRD pattern
Compound: La5Dy4Y2
Radiation: copper Kα
Structure: a PBE-relaxed structure

Peak list (8 most intense, 2θ = 10–80°, low angle first)
| two_theta | I/Imax |
| --- | --- |
| 30.03 | 436 |
| 30.59 | 555 |
| 31.24 | 1000 |
| 34.26 | 847 |
| 38.41 | 173 |
| 52.74 | 195 |
| 58.68 | 185 |
| 60.20 | 250 |

```
La5Dy4Y2
1.0
9.128 -1.808 0.000
9.128 1.808 0.000
-2.494 0.000 11.690
La Dy Y
5 4 2
Direct
0.000 0.000 0.000
0.335 0.335 0.998
0.352 0.352 0.489
0.648 0.648 0.511
0.665 0.665 0.002
0.188 0.188 0.764
0.482 0.482 0.272
0.518 0.518 0.728
0.812 0.812 0.236
0.150 0.150 0.254
0.850 0.850 0.746
```



Simulated PXRD pattern
Compound: La3Dy2Zn3
Radiation: copper Kα
Structure: a PBE-relaxed structure

Peak list (8 most intense, 2θ = 10–80°, low angle first)
| two_theta | I/Imax |
| --- | --- |
| 26.06 | 154 |
| 32.50 | 205 |
| 33.05 | 282 |
| 33.43 | 1000 |
| 47.03 | 145 |
| 56.33 | 102 |
| 59.27 | 190 |
| 60.33 | 111 |

```
La3Dy2Zn3
1.0
3.721 0.000 0.000
0.000 5.421 0.000
0.000 0.000 22.037
La Dy Zn
6 4 6
Direct
0.000 0.000 0.000
0.000 0.500 0.120
0.000 0.500 0.880
0.500 0.000 0.380
0.500 0.000 0.620
0.500 0.500 0.500
0.000 0.000 0.230
0.000 0.000 0.770
0.500 0.500 0.270
0.500 0.500 0.730
0.000 0.000 0.500
0.000 0.500 0.378
0.000 0.500 0.622
0.500 0.000 0.122
0.500 0.000 0.878
0.500 0.500 0.000
```